Diffraction record for Ba2Ca2Tl2Fe3O10. The XRD peak list is computed, not measured: it uses the GGA+U geometry in Alexandria and copper Kα.
Lines closer than 0.1° are merged.

Largest 10 diffraction maxima, in order of falling intensity, 10 to 90 degrees two-theta:
- (1 1 -1), 31.86°, I 100
- (0 1 -4), 28.13°, I 64
- (1 0 -4), 28.26°, I 62
- (0 1 4), 31.39°, I 47
- (1 0 4), 31.51°, I 46
- (1 1 -8), 47.46°, I 32
- (1 1 0), 32.25°, I 31
- (2 0 -1), 45.85°, I 31
- (0 0 7), 34.23°, I 28
- (0 2 -1), 45.52°, I 24

Crystal structure
```
Ba2Ca2Tl2Fe3O10
1.0
3.9581 0.0000 0.0000
-0.0006 3.9856 0.0000
-1.9782 -1.9926 18.3382
Ba Ca Tl Fe O
2 2 2 3 10
Cartesian
0.0000 0.0000 0.0000 Ba
0.0051 0.0058 10.6202 Ba
-0.0012 -0.0024 3.6332 Ca
0.0039 0.0031 6.9871 Ca
0.0037 0.2254 15.6153 Tl
1.9838 2.2193 13.3423 Tl
1.9768 1.9887 2.0660 Fe
1.9801 1.9934 5.3094 Fe
1.9832 1.9962 8.5562 Fe
-0.0020 1.9907 2.1417 O
0.0011 1.9935 5.3097 O
0.0041 1.9982 8.4781 O
0.0045 -0.4578 13.5188 O
0.0023 -0.0509 17.7545 O
1.9775 -0.0041 2.1339 O
1.9804 0.0007 5.3097 O
1.9835 0.0031 8.4862 O
1.9833 1.9450 11.2025 O
1.9803 1.5315 15.4383 O
```